Starting from a GGA-PBE-relaxed structure, the PXRD pattern of InAgPb2S4 was computed for copper Kα.
Lines closer than 0.1° are merged.

Peak list (6 most intense, 2θ = 15–90°, by angle)
- 25.0 deg, 3.563 Å, I = 80.7
- 26.8 deg, 3.321 Å, I = 29.2
- 27.9 deg, 3.195 Å, I = 26.5
- 28.4 deg, 3.141 Å, I = 100.0
- 34.0 deg, 2.640 Å, I = 34.7
- 44.1 deg, 2.052 Å, I = 28.4

Crystal structure
```
InAgPb2S4
1.0
8.278 0.000 0.000
0.000 9.656 0.000
-3.928 0.000 5.280
In Ag Pb S
2 2 4 8
Direct
0.000 0.000 0.000 In
0.500 0.500 0.000 In
0.000 0.248 0.500 Ag
0.500 0.748 0.500 Ag
0.000 0.455 0.000 Pb
0.000 0.710 0.500 Pb
0.500 0.210 0.500 Pb
0.500 0.955 0.000 Pb
0.221 0.903 0.443 S
0.228 0.149 0.958 S
0.272 0.649 0.042 S
0.279 0.403 0.557 S
0.721 0.403 0.443 S
0.728 0.649 0.958 S
0.772 0.149 0.042 S
0.779 0.903 0.557 S
```

***

Starting from a GGA-PBE-relaxed structure, the PXRD pattern of LiTb3Pb2O was computed for copper Kα.
Lines closer than 0.1° are merged.

Peak list (6 most intense, 2θ = 15–90°, by angle)
- 27.8 deg, 3.204 Å, I = 60.8
- 30.0 deg, 2.980 Å, I = 40.2
- 33.1 deg, 2.706 Å, I = 31.4
- 35.7 deg, 2.515 Å, I = 100.0
- 38.9 deg, 2.317 Å, I = 30.9
- 40.7 deg, 2.218 Å, I = 27.2

Crystal structure
```
LiTb3Pb2O
1.0
4.436 0.000 0.000
0.000 4.634 0.000
0.000 0.000 16.234
Li Tb Pb O
2 6 4 2
Direct
0.000 0.000 0.000 Li
0.500 0.500 0.500 Li
0.000 0.000 0.500 Tb
0.000 0.500 0.341 Tb
0.000 0.500 0.659 Tb
0.500 0.000 0.159 Tb
0.500 0.000 0.841 Tb
0.500 0.500 0.000 Tb
0.000 0.500 0.143 Pb
0.000 0.500 0.857 Pb
0.500 0.000 0.357 Pb
0.500 0.000 0.643 Pb
0.000 0.500 0.500 O
0.500 0.000 0.000 O
```